(1)
Diffraction record for Pr2Dy2Er5. The powder X-ray diffraction pattern is theoretical, not measured: it uses a DFT-relaxed cell (PBE, Alexandria) and Cu Kα (weighted mean of Kα1 and Kα2).

Main lines, by angle (2θ = 10–80°):
d_spacing, 2theta, I (rel.)
3.480, 25.59, 41
3.194, 27.94, 42
3.130, 28.52, 41
2.993, 29.85, 78
2.980, 29.99, 71
2.726, 32.86, 69
2.669, 33.58, 72
2.569, 34.93, 74
2.477, 36.27, 100
2.115, 42.76, 34

Atomic structure:
a = 10.955 Å, b = 10.955 Å, c = 8.205 Å
α = 99.85°, β = 99.85°, γ = 18.28°
Positions (direct):
Pr: 0.181 0.181 0.142
Pr: 0.819 0.819 0.858
Dy: 0.453 0.453 0.645
Dy: 0.547 0.547 0.355
Er: 0.000 0.000 0.000
Er: 0.096 0.096 0.731
Er: 0.309 0.309 0.469
Er: 0.691 0.691 0.531
Er: 0.904 0.904 0.269

---

(2)
Diffraction record for Cr5Pt4. The powder X-ray diffraction pattern is theoretical, not measured: it uses a DFT-relaxed cell (PBE, Alexandria) and Cu Kα (weighted mean of Kα1 and Kα2).

Main lines, by angle (2θ = 10–80°):
d_spacing, 2theta, I (rel.)
5.769, 15.36, 23
3.414, 26.10, 8
2.885, 31.00, 15
2.618, 34.25, 28
2.203, 40.96, 100
1.923, 47.27, 32
1.879, 48.44, 16
1.405, 66.55, 10
1.360, 69.07, 10
1.344, 70.00, 19

Atomic structure:
a = 6.068 Å, b = 6.068 Å, c = 6.068 Å
α = 95.51°, β = 95.51°, γ = 143.91°
Positions (direct):
Cr: 0.000 0.000 0.000
Cr: 0.338 0.338 0.676
Cr: 0.338 0.662 0.000
Cr: 0.662 0.338 0.000
Cr: 0.662 0.662 0.324
Pt: 0.000 0.321 0.321
Pt: 0.000 0.679 0.679
Pt: 0.321 0.000 0.321
Pt: 0.679 0.000 0.679

---

(3)
Diffraction record for Na5B7C3. The powder X-ray diffraction pattern is theoretical, not measured: it uses a DFT-relaxed cell (PBE, Alexandria) and Cu Kα (weighted mean of Kα1 and Kα2).

Main lines, by angle (2θ = 10–80°):
d_spacing, 2theta, I (rel.)
2.578, 34.80, 12
2.467, 36.41, 17
2.212, 40.80, 48
2.152, 41.99, 38
2.140, 42.22, 100
1.622, 56.77, 9
1.466, 63.44, 16
1.405, 66.56, 8
1.240, 76.87, 13
1.212, 79.02, 16

Atomic structure:
a = 11.652 Å, b = 11.652 Å, c = 10.038 Å
α = 106.99°, β = 106.99°, γ = 13.85°
Positions (direct):
Na: 0.000 0.000 0.000
Na: 0.101 0.101 0.698
Na: 0.201 0.201 0.403
Na: 0.299 0.299 0.102
Na: 0.399 0.399 0.794
Na: 0.500 0.500 0.500
Na: 0.601 0.601 0.206
Na: 0.701 0.701 0.898
Na: 0.799 0.799 0.597
Na: 0.899 0.899 0.302
B: 0.024 0.024 0.300
B: 0.092 0.092 0.433
B: 0.128 0.128 0.005
B: 0.280 0.280 0.809
B: 0.313 0.313 0.379
B: 0.415 0.415 0.084
B: 0.480 0.480 0.212
B: 0.520 0.520 0.788
B: 0.585 0.585 0.916
B: 0.687 0.687 0.621
B: 0.720 0.720 0.191
B: 0.872 0.872 0.995
B: 0.908 0.908 0.567
B: 0.976 0.976 0.700
C: 0.188 0.188 0.126
C: 0.218 0.218 0.684
C: 0.376 0.376 0.505
C: 0.624 0.624 0.495
C: 0.782 0.782 0.316
C: 0.812 0.812 0.874

---

(4)
Diffraction record for Y2B6Ru. The powder X-ray diffraction pattern is theoretical, not measured: it uses a DFT-relaxed cell (PBE, Alexandria) and Cu Kα (weighted mean of Kα1 and Kα2).

Main lines, by angle (2θ = 10–80°):
d_spacing, 2theta, I (rel.)
3.667, 24.27, 100
2.951, 30.29, 70
2.752, 32.54, 33
2.700, 33.17, 27
2.299, 39.19, 97
2.267, 39.75, 31
2.201, 41.00, 44
2.174, 41.53, 38
2.004, 45.25, 24
1.833, 49.73, 28

Atomic structure:
a = 9.167 Å, b = 11.540 Å, c = 3.667 Å
α = 90.00°, β = 90.00°, γ = 90.00°
Positions (direct):
Y: 0.056 0.127 0.000
Y: 0.177 0.414 0.000
Y: 0.323 0.914 0.000
Y: 0.444 0.627 0.000
Y: 0.556 0.373 0.000
Y: 0.677 0.086 0.000
Y: 0.823 0.586 0.000
Y: 0.944 0.873 0.000
B: 0.016 0.287 0.500
B: 0.054 0.567 0.500
B: 0.111 0.969 0.500
B: 0.132 0.814 0.500
B: 0.210 0.233 0.500
B: 0.247 0.580 0.500
B: 0.253 0.080 0.500
B: 0.290 0.733 0.500
B: 0.368 0.314 0.500
B: 0.389 0.469 0.500
B: 0.446 0.067 0.500
B: 0.484 0.787 0.500
B: 0.516 0.213 0.500
B: 0.554 0.933 0.500
B: 0.611 0.531 0.500
B: 0.632 0.686 0.500
B: 0.710 0.267 0.500
B: 0.747 0.920 0.500
B: 0.753 0.420 0.500
B: 0.790 0.767 0.500
B: 0.868 0.186 0.500
B: 0.889 0.031 0.500
B: 0.946 0.433 0.500
B: 0.984 0.713 0.500
Ru: 0.138 0.679 0.000
Ru: 0.362 0.179 0.000
Ru: 0.638 0.821 0.000
Ru: 0.862 0.321 0.000

---

(5)
Diffraction record for Ho3Tm2Pd3. The powder X-ray diffraction pattern is theoretical, not measured: it uses a DFT-relaxed cell (PBE, Alexandria) and Cu Kα (weighted mean of Kα1 and Kα2).

Main lines, by angle (2θ = 10–80°):
d_spacing, 2theta, I (rel.)
3.237, 27.55, 12
2.610, 34.36, 18
2.563, 35.02, 29
2.534, 35.42, 100
1.828, 49.87, 13
1.758, 52.03, 10
1.474, 63.07, 19
1.449, 64.27, 10
1.326, 71.09, 8
1.267, 74.95, 7

Atomic structure:
a = 10.891 Å, b = 10.891 Å, c = 10.891 Å
α = 161.43°, β = 152.78°, γ = 33.15°
Positions (direct):
Ho: 0.000 0.000 0.000
Ho: 0.383 0.883 0.500
Ho: 0.617 0.117 0.500
Tm: 0.226 0.226 0.000
Tm: 0.774 0.774 0.000
Pd: 0.116 0.616 0.500
Pd: 0.500 0.500 0.000
Pd: 0.884 0.384 0.500

---

(6)
Diffraction record for Sr2SmSn4Ir3. The powder X-ray diffraction pattern is theoretical, not measured: it uses a DFT-relaxed cell (PBE, Alexandria) and Cu Kα (weighted mean of Kα1 and Kα2).

Main lines, by angle (2θ = 10–80°):
d_spacing, 2theta, I (rel.)
6.050, 14.64, 23
4.254, 20.88, 33
3.017, 29.61, 40
2.838, 31.52, 100
2.272, 39.67, 73
2.203, 40.97, 61
2.136, 42.31, 21
1.607, 57.35, 25
1.398, 66.92, 24
1.298, 72.87, 23

Atomic structure:
a = 4.544 Å, b = 4.544 Å, c = 12.101 Å
α = 90.00°, β = 90.00°, γ = 90.00°
Positions (direct):
Sr: 0.000 0.500 0.231
Sr: 0.500 0.000 0.769
Sm: 0.000 0.000 0.500
Sn: 0.000 0.000 0.000
Sn: 0.000 0.500 0.665
Sn: 0.500 0.000 0.335
Sn: 0.500 0.500 0.000
Ir: 0.000 0.500 0.881
Ir: 0.500 0.000 0.119
Ir: 0.500 0.500 0.500

---

(7)
Diffraction record for Dy6ErIn3. The powder X-ray diffraction pattern is theoretical, not measured: it uses a DFT-relaxed cell (PBE, Alexandria) and Cu Kα (weighted mean of Kα1 and Kα2).

Main lines, by angle (2θ = 10–80°):
d_spacing, 2theta, I (rel.)
2.814, 31.80, 85
2.741, 32.68, 100
2.686, 33.36, 14
2.678, 33.46, 40
2.594, 34.58, 47
2.081, 43.49, 14
1.863, 48.88, 29
1.545, 59.87, 17
1.537, 60.23, 14
1.524, 60.76, 17

Atomic structure:
a = 10.076 Å, b = 5.188 Å, c = 11.352 Å
α = 90.00°, β = 102.78°, γ = 90.00°
Positions (direct):
Dy: 0.060 0.250 0.409
Dy: 0.152 0.750 0.184
Dy: 0.232 0.250 0.992
Dy: 0.309 0.750 0.785
Dy: 0.380 0.250 0.300
Dy: 0.392 0.250 0.604
Dy: 0.608 0.750 0.396
Dy: 0.620 0.750 0.700
Dy: 0.691 0.250 0.215
Dy: 0.768 0.750 0.008
Dy: 0.848 0.250 0.816
Dy: 0.940 0.750 0.591
Er: 0.460 0.750 0.097
Er: 0.540 0.250 0.903
In: 0.036 0.750 0.889
In: 0.117 0.250 0.703
In: 0.280 0.750 0.466
In: 0.720 0.250 0.534
In: 0.883 0.750 0.297
In: 0.964 0.250 0.111

---

(8)
Diffraction record for Nd2Ho3Cd3. The powder X-ray diffraction pattern is theoretical, not measured: it uses a DFT-relaxed cell (PBE, Alexandria) and Cu Kα (weighted mean of Kα1 and Kα2).

Main lines, by angle (2θ = 10–80°):
d_spacing, 2theta, I (rel.)
2.786, 32.13, 100
2.467, 36.42, 36
2.313, 38.93, 14
1.745, 52.45, 13
1.688, 54.37, 21
1.635, 56.28, 2
1.479, 62.85, 29
1.411, 66.26, 10
1.393, 67.21, 11
1.234, 77.36, 4

Atomic structure:
a = 4.934 Å, b = 4.935 Å, c = 9.253 Å
α = 90.00°, β = 90.00°, γ = 90.00°
Positions (direct):
Nd: 0.000 0.000 0.244
Nd: 0.000 0.000 0.756
Ho: 0.000 0.500 0.500
Ho: 0.500 0.500 0.229
Ho: 0.500 0.500 0.771
Cd: 0.000 0.500 0.000
Cd: 0.500 0.000 0.000
Cd: 0.500 0.000 0.500

---

(9)
Diffraction record for Cs3Ti2Cl9. The powder X-ray diffraction pattern is theoretical, not measured: it uses a DFT-relaxed cell (PBE, Alexandria) and Cu Kα (weighted mean of Kα1 and Kα2).

Main lines, by angle (2θ = 10–80°):
d_spacing, 2theta, I (rel.)
5.317, 16.67, 46
4.470, 19.86, 37
3.757, 23.68, 93
3.209, 27.80, 46
3.071, 29.08, 100
2.875, 31.10, 80
2.658, 33.71, 55
2.047, 44.25, 38
1.878, 48.48, 41
1.602, 57.51, 31

Atomic structure:
a = 7.511 Å, b = 7.511 Å, c = 18.459 Å
α = 90.00°, β = 90.00°, γ = 120.00°
Positions (direct):
Cs: 0.000 0.000 0.250
Cs: 0.000 0.000 0.750
Cs: 0.333 0.667 0.072
Cs: 0.333 0.667 0.428
Cs: 0.667 0.333 0.572
Cs: 0.667 0.333 0.928
Ti: 0.333 0.667 0.666
Ti: 0.333 0.667 0.834
Ti: 0.667 0.333 0.166
Ti: 0.667 0.333 0.334
Cl: 0.030 0.515 0.750
Cl: 0.180 0.361 0.596
Cl: 0.180 0.361 0.904
Cl: 0.180 0.820 0.596
Cl: 0.180 0.820 0.904
Cl: 0.361 0.180 0.096
Cl: 0.361 0.180 0.404
Cl: 0.485 0.515 0.750
Cl: 0.485 0.970 0.750
Cl: 0.515 0.030 0.250
Cl: 0.515 0.485 0.250
Cl: 0.639 0.820 0.596
Cl: 0.639 0.820 0.904
Cl: 0.820 0.180 0.096
Cl: 0.820 0.180 0.404
Cl: 0.820 0.639 0.096
Cl: 0.820 0.639 0.404
Cl: 0.970 0.485 0.250

---

(10)
Diffraction record for Nb3Co2Ni3. The powder X-ray diffraction pattern is theoretical, not measured: it uses a DFT-relaxed cell (PBE, Alexandria) and Cu Kα (weighted mean of Kα1 and Kα2).

Main lines, by angle (2θ = 10–80°):
d_spacing, 2theta, I (rel.)
2.412, 37.28, 50
2.274, 39.63, 16
2.177, 41.48, 98
2.171, 41.59, 21
2.109, 42.89, 100
2.039, 44.43, 54
2.027, 44.70, 25
1.979, 45.86, 68
1.915, 47.49, 17
1.884, 48.31, 24

Atomic structure:
a = 3.957 Å, b = 13.029 Å, c = 4.699 Å
α = 90.00°, β = 114.78°, γ = 90.00°
Positions (direct):
Nb: 0.004 0.250 0.003
Nb: 0.148 0.552 0.295
Nb: 0.148 0.948 0.295
Nb: 0.852 0.052 0.705
Nb: 0.852 0.448 0.705
Nb: 0.996 0.750 0.997
Co: 0.235 0.137 0.470
Co: 0.235 0.363 0.470
Co: 0.765 0.637 0.530
Co: 0.765 0.863 0.530
Ni: 0.294 0.750 0.589
Ni: 0.457 0.596 0.914
Ni: 0.457 0.904 0.914
Ni: 0.543 0.096 0.086
Ni: 0.543 0.404 0.086
Ni: 0.706 0.250 0.411

---

(11)
Diffraction record for MoWSe4. The powder X-ray diffraction pattern is theoretical, not measured: it uses a DFT-relaxed cell (PBE, Alexandria) and Cu Kα (weighted mean of Kα1 and Kα2).

Main lines, by angle (2θ = 10–80°):
d_spacing, 2theta, I (rel.)
7.337, 12.06, 100
2.877, 31.08, 29
2.679, 33.45, 16
2.480, 36.22, 65
2.055, 44.08, 57
1.661, 55.30, 21
1.620, 56.83, 12
1.380, 67.92, 10
1.292, 73.28, 13
1.231, 77.53, 14

Atomic structure:
a = 3.322 Å, b = 3.322 Å, c = 14.674 Å
α = 90.00°, β = 90.00°, γ = 120.00°
Positions (direct):
Mo: 0.000 0.000 0.000
W: 0.667 0.333 0.497
Se: 0.000 0.000 0.382
Se: 0.000 0.000 0.612
Se: 0.667 0.333 0.114
Se: 0.667 0.333 0.886

---

(12)
Diffraction record for SmDy7Mg2. The powder X-ray diffraction pattern is theoretical, not measured: it uses a DFT-relaxed cell (PBE, Alexandria) and Cu Kα (weighted mean of Kα1 and Kα2).

Main lines, by angle (2θ = 10–80°):
d_spacing, 2theta, I (rel.)
7.698, 11.49, 49
3.375, 26.41, 55
3.224, 27.67, 63
2.974, 30.04, 72
2.655, 33.76, 55
2.641, 33.95, 100
2.524, 35.57, 82
1.981, 45.81, 46
1.479, 62.84, 28
1.474, 63.09, 30

Atomic structure:
a = 9.220 Å, b = 9.220 Å, c = 5.309 Å
α = 90.00°, β = 90.00°, γ = 123.39°
Positions (direct):
Sm: 0.000 0.000 0.000
Dy: 0.069 0.296 0.500
Dy: 0.212 0.788 0.000
Dy: 0.296 0.069 0.500
Dy: 0.500 0.500 0.500
Dy: 0.704 0.931 0.500
Dy: 0.788 0.212 0.000
Dy: 0.931 0.704 0.500
Mg: 0.298 0.702 0.500
Mg: 0.702 0.298 0.500